1.
Starting from a cell relaxed with GGA+U, the PXRD pattern of RbVF4 was simulated for Cu Ka.
Neutral-atom scattering factors, no anomalous dispersion.

Structural model:
a b c (Å): 8.333 8.333 6.212
angles (deg): 90.00 90.00 151.36
Fractional coordinates of all 12 atoms:
Rb  0.170  0.830  0.500
Rb  0.830  0.170  0.000
V  0.419  0.581  0.499
V  0.581  0.419  0.999
F  0.076  0.924  0.999
F  0.333  0.667  0.289
F  0.334  0.666  0.712
F  0.500  0.500  0.248
F  0.500  0.500  0.748
F  0.666  0.334  0.212
F  0.667  0.333  0.789
F  0.924  0.076  0.499

Main lines, by intensity (10 to 90 degrees two-theta):
- 2θ 26.5, I 100.0
- 2θ 26.3, I 93.3
- 2θ 40.0, I 33.0
- 2θ 46.1, I 27.8
- 2θ 43.9, I 27.7
- 2θ 51.9, I 25.9

---

2.
Starting from a cell relaxed with GGA+U, the PXRD pattern of Rb2VZnF6 was simulated for Cu Ka.
Neutral-atom scattering factors, no anomalous dispersion.

Structural model:
a b c (Å): 5.979 5.979 5.979
angles (deg): 60.00 60.00 60.00
Fractional coordinates of all 10 atoms:
Rb  0.250  0.250  0.250
Rb  0.750  0.750  0.750
V  0.000  0.000  0.000
Zn  0.500  0.500  0.500
F  0.254  0.254  0.746
F  0.254  0.746  0.254
F  0.254  0.746  0.746
F  0.746  0.254  0.254
F  0.746  0.254  0.746
F  0.746  0.746  0.254

Main lines, by intensity (10 to 90 degrees two-theta):
- 2θ 29.9, I 100.0
- 2θ 42.8, I 47.0
- 2θ 53.1, I 39.2
- 2θ 62.1, I 27.7
- 2θ 86.0, I 20.2
- 2θ 70.4, I 16.9